# Sr3TiNb4O15
Simulated XRD peak list, CuKα. Input: a GGA-PBE-relaxed structure.
Intensities are scaled so that the largest is 100.

Peak list (10 most intense, 15° ≤ 2θ ≤ 90°, in order of falling intensity)
31.7°, rel. 100; 45.9°, rel. 57; 28.7°, rel. 54; 25.1°, rel. 52; 31.3°, rel. 46; 27.5°, rel. 46; 27.4°, rel. 45; 31.2°, rel. 44; 56.0°, rel. 40; 31.5°, rel. 36

Structure:
Unit cell a=3.9533 b=12.7496 c=12.8281 alpha=90.00 beta=90.27 gamma=90.00
Atoms (fractional coordinates):
Sr (0.0000, 0.0251, 0.0000)
Sr (0.0000, 0.9749, 0.5000)
Sr (0.0039, 0.2499, 0.6310)
Sr (0.0039, 0.7501, 0.1310)
Sr (0.9977, 0.3767, 0.3461)
Sr (0.9977, 0.6233, 0.8461)
Ti (0.4875, 0.1786, 0.4270)
Ti (0.4875, 0.8214, 0.9270)
Nb (0.4761, 0.2404, 0.1331)
Nb (0.4761, 0.7596, 0.6331)
Nb (0.5075, 0.4658, 0.5614)
Nb (0.5075, 0.5342, 0.0614)
Nb (0.5084, 0.0412, 0.7229)
Nb (0.5084, 0.9588, 0.2229)
Nb (0.5088, 0.3335, 0.8479)
Nb (0.5088, 0.6665, 0.3479)
O (0.0026, 0.2427, 0.1223)
O (0.0026, 0.7573, 0.6223)
O (0.0093, 0.0437, 0.6949)
O (0.0091, 0.3296, 0.8204)
O (0.0087, 0.4490, 0.5373)
O (0.0087, 0.5510, 0.0373)
O (0.0091, 0.6704, 0.3204)
O (0.0093, 0.9563, 0.1949)
O (0.0126, 0.1736, 0.4209)
O (0.0126, 0.8264, 0.9209)
O (0.5079, 0.0870, 0.1191)
O (0.5076, 0.2536, 0.2811)
O (0.5076, 0.7464, 0.7811)
O (0.5079, 0.9130, 0.6191)
O (0.5093, 0.1855, 0.7579)
O (0.5086, 0.3819, 0.6826)
O (0.5085, 0.4755, 0.8996)
O (0.5085, 0.5245, 0.3996)
O (0.5086, 0.6181, 0.1826)
O (0.5093, 0.8145, 0.2579)
O (0.5099, 0.0204, 0.3564)
O (0.5102, 0.2515, 0.9678)
O (0.5097, 0.3165, 0.4771)
O (0.5097, 0.6835, 0.9771)
O (0.5102, 0.7485, 0.4678)
O (0.5099, 0.9796, 0.8564)
O (0.5118, 0.1123, 0.5561)
O (0.5123, 0.4040, 0.1286)
O (0.5123, 0.5960, 0.6286)
O (0.5118, 0.8877, 0.0561)


# Sr3Zr2Nb2O12
Simulated XRD peak list, CuKα. Input: a GGA-PBE-relaxed structure.
Intensities are scaled so that the largest is 100.

Peak list (10 most intense, 15° ≤ 2θ ≤ 90°, in order of falling intensity)
30.6°, rel. 100; 31.0°, rel. 96; 44.1°, rel. 74; 54.7°, rel. 39; 21.6°, rel. 26; 63.8°, rel. 22; 64.5°, rel. 21; 54.4°, rel. 20; 55.3°, rel. 19; 72.6°, rel. 17

Structure:
Unit cell a=9.9668 b=9.9668 c=9.9668 alpha=34.07 beta=34.07 gamma=34.07
Atoms (fractional coordinates):
Sr (0.0000, 0.0000, 0.0000)
Sr (0.2491, 0.2491, 0.2491)
Sr (0.7509, 0.7509, 0.7509)
Zr (0.3777, 0.3777, 0.3777)
Zr (0.6223, 0.6223, 0.6223)
Nb (0.1267, 0.1267, 0.1267)
Nb (0.8733, 0.8733, 0.8733)
O (0.0000, 0.0000, 0.5000)
O (0.0000, 0.5000, 0.0000)
O (0.0000, 0.5000, 0.5000)
O (0.2288, 0.7614, 0.7614)
O (0.2386, 0.2386, 0.7712)
O (0.2386, 0.7712, 0.2386)
O (0.5000, 0.0000, 0.0000)
O (0.5000, 0.0000, 0.5000)
O (0.5000, 0.5000, 0.0000)
O (0.7614, 0.2288, 0.7614)
O (0.7614, 0.7614, 0.2288)
O (0.7712, 0.2386, 0.2386)